Starting from a structure optimized by DFT (PBE), the PXRD pattern of AlAgCl6 was computed for Cu Kα (weighted mean of Kα1 and Kα2).

Structure:
```
AlAgCl6
1.0
0.000 4.649 4.649
4.649 0.000 4.649
4.649 4.649 0.000
Al Ag Cl
1 1 6
Cartesian
0.000 0.000 0.000
6.973 6.973 6.973
4.649 4.649 2.284
4.649 2.284 4.649
7.014 4.649 4.649
2.284 4.649 4.649
4.649 7.014 4.649
4.649 4.649 7.014
```

Peak list (6 most intense, 5° ≤ 2θ ≤ 70°, sorted by position)
- 2θ = 16.5°, I 87
- 2θ = 31.9°, I 50
- 2θ = 33.4°, I 100
- 2θ = 38.7°, I 67
- 2θ = 55.9°, I 41
- 2θ = 66.7°, I 32